Starting from the PBE+U geometry in Alexandria, the XRD peak list of KCo2As2HO8 was computed for copper Kα.
Peak positions follow from Bragg's law for the DFT cell and can differ from measured ones.

Most intense lines, 5 to 70 degrees two-theta, in order of rising 2θ:
- (0 0 2), 11.1°, I = 100
- (1 1 1), 21.1°, I = 12
- (1 1 -3), 25.6°, I = 17
- (1 1 3), 26.7°, I = 46
- (2 0 -4), 28.7°, I = 24
- (2 0 4), 31.4°, I = 19
- (1 1 -5), 33.8°, I = 27
- (3 1 -1), 35.2°, I = 60
- (1 1 5), 35.3°, I = 16
- (3 1 1), 36.0°, I = 11

```
data_KCo2As2HO8
_chemical_formula_sum 'K4 Co8 As8 H4 O32'
_cell_length_a 8.896
_cell_length_b 5.098
_cell_length_c 16.077
_cell_angle_alpha 90.00
_cell_angle_beta 95.09
_cell_angle_gamma 90.00
_space_group_name_H-M_alt 'P 1 2/c 1'
_space_group_IT_number 13
loop_
_space_group_symop_operation_xyz
'x,y,z'
'-x,-y,-z'
'-x,y,-z+1/2'
'x,-y,z+1/2'
loop_
_atom_site_label
_atom_site_type_symbol
_atom_site_fract_x
_atom_site_fract_y
_atom_site_fract_z
K1 K 0.000 0.099 0.250
K2 K 0.500 0.114 0.750
Co1 Co 0.083 0.242 0.499
Co2 Co 0.416 0.242 0.496
As1 As 0.233 0.268 0.891
As2 As 0.267 0.270 0.105
H1 H 0.258 0.469 0.241
O1 O 0.075 0.418 0.927
O2 O 0.102 0.096 0.079
O3 O 0.217 0.288 0.785
O4 O 0.235 0.061 0.422
O5 O 0.263 0.408 0.572
O6 O 0.288 0.288 0.214
O7 O 0.403 0.412 0.928
O8 O 0.422 0.090 0.080
```